Entry 1:
# Sc2CuIr
Theoretical PXRD pattern, Cu Kα. Input: a DFT-relaxed cell (PBE, the Materials Project).
No peak broadening, texture or thermal motion is included.

Principal peaks in the range 15 to 90 degrees two-theta, sorted by position:
| d_spacing | Rel. int. |
| --- | --- |
| 3.736 | 29 |
| 3.236 | 30 |
| 2.288 | 100 |
| 1.951 | 15 |
| 1.868 | 9 |
| 1.618 | 17 |
| 1.485 | 7 |
| 1.447 | 12 |
| 1.321 | 33 |
| 1.144 | 10 |

abc: 4.5758 4.5758 4.5758
angles: 60.00 60.00 60.00
Fractional coordinates of all 4 atoms:
Sc  0.2500  0.2500  0.2500
Sc  0.7500  0.7500  0.7500
Cu  0.0000  0.0000  0.0000
Ir  0.5000  0.5000  0.5000

Entry 2:
# Li3NiN2
Theoretical PXRD pattern, Cu Kα. Input: a DFT-relaxed cell (PBE, the Materials Project).
No peak broadening, texture or thermal motion is included.

Principal peaks in the range 15 to 90 degrees two-theta, sorted by position:
| d_spacing | Rel. int. |
| --- | --- |
| 3.569 | 100 |
| 3.181 | 89 |
| 3.058 | 57 |
| 2.966 | 24 |
| 2.665 | 33 |
| 2.524 | 30 |
| 2.375 | 46 |
| 2.135 | 66 |
| 1.784 | 37 |
| 1.369 | 27 |

abc: 7.3404 7.3404 7.3404
angles: 121.82 121.82 86.88
Fractional coordinates of all 24 atoms:
Li  0.1009  0.3509  0.2017
Li  0.1009  0.8991  0.7500
Li  0.2575  0.5075  0.7500
Li  0.3509  0.1009  0.7017
Li  0.3509  0.6491  0.2500
Li  0.4925  0.7425  0.7500
Li  0.5075  0.2575  0.2500
Li  0.6491  0.3509  0.7500
Li  0.6491  0.8991  0.2983
Li  0.7425  0.4925  0.2500
Li  0.8991  0.1009  0.2500
Li  0.8991  0.6491  0.7983
Ni  0.0203  0.2703  0.7500
Ni  0.2703  0.0203  0.2500
Ni  0.7297  0.9797  0.7500
Ni  0.9797  0.7297  0.2500
N  0.2102  0.7234  0.4868
N  0.2634  0.2766  0.9868
N  0.2766  0.2634  0.4868
N  0.2766  0.7898  0.0132
N  0.7234  0.2102  0.9868
N  0.7234  0.7366  0.5132
N  0.7366  0.7234  0.0132
N  0.7898  0.2766  0.5132

Entry 3:
# Ga2FeNi9
Theoretical PXRD pattern, Cu Kα. Input: a DFT-relaxed cell (PBE, the Materials Project).
No peak broadening, texture or thermal motion is included.

Principal peaks in the range 15 to 90 degrees two-theta, sorted by position:
| d_spacing | Rel. int. |
| --- | --- |
| 2.047 | 100 |
| 1.774 | 31 |
| 1.769 | 15 |
| 1.255 | 9 |
| 1.253 | 18 |

abc: 3.5490 3.5490 10.6169
angles: 90.00 90.00 90.00
Fractional coordinates of all 12 atoms:
Ga  0.0000  0.0000  0.1672
Ga  0.0000  0.0000  0.8328
Fe  0.0000  0.0000  0.5000
Ni  0.0000  0.5000  0.0000
Ni  0.0000  0.5000  0.3408
Ni  0.0000  0.5000  0.6592
Ni  0.5000  0.0000  0.0000
Ni  0.5000  0.0000  0.3408
Ni  0.5000  0.0000  0.6592
Ni  0.5000  0.5000  0.1698
Ni  0.5000  0.5000  0.5000
Ni  0.5000  0.5000  0.8302

Entry 4:
# AgI
Theoretical PXRD pattern, Cu Kα. Input: a DFT-relaxed cell (PBE, the Materials Project).
No peak broadening, texture or thermal motion is included.

Principal peaks in the range 15 to 90 degrees two-theta, sorted by position:
| d_spacing | Rel. int. |
| --- | --- |
| 3.092 | 100 |
| 3.047 | 51 |
| 2.198 | 21 |
| 2.192 | 40 |
| 2.174 | 13 |
| 2.149 | 30 |
| 1.783 | 21 |
| 1.389 | 17 |
| 1.377 | 11 |
| 1.268 | 10 |

abc: 4.3498 4.3964 6.0971
angles: 90.00 91.57 90.00
Fractional coordinates of all 4 atoms:
Ag  0.1811  0.2500  0.2233
Ag  0.8189  0.7500  0.7767
I  0.2815  0.2500  0.7413
I  0.7185  0.7500  0.2586

Entry 5:
# BaCuReO5
Theoretical PXRD pattern, Cu Kα. Input: a DFT-relaxed cell (PBE, the Materials Project).
No peak broadening, texture or thermal motion is included.

Principal peaks in the range 15 to 90 degrees two-theta, sorted by position:
| d_spacing | Rel. int. |
| --- | --- |
| 4.159 | 27 |
| 3.468 | 100 |
| 2.811 | 86 |
| 2.773 | 30 |
| 2.698 | 47 |
| 1.933 | 31 |
| 1.907 | 32 |
| 1.671 | 25 |
| 1.578 | 30 |
| 1.571 | 21 |

abc: 3.8149 3.8149 8.3182
angles: 90.00 90.00 90.00
Fractional coordinates of all 8 atoms:
Ba  0.0000  0.0000  0.0000
Cu  0.5000  0.5000  0.2571
Re  0.5000  0.5000  0.6509
O  0.0000  0.5000  0.2161
O  0.0000  0.5000  0.6380
O  0.5000  0.0000  0.2161
O  0.5000  0.0000  0.6380
O  0.5000  0.5000  0.8738

Entry 6:
# Zr2VCo3
Theoretical PXRD pattern, Cu Kα. Input: a DFT-relaxed cell (PBE, the Materials Project).
No peak broadening, texture or thermal motion is included.

Principal peaks in the range 15 to 90 degrees two-theta, sorted by position:
| d_spacing | Rel. int. |
| --- | --- |
| 2.548 | 43 |
| 2.417 | 47 |
| 2.168 | 62 |
| 2.125 | 100 |
| 2.062 | 40 |
| 2.047 | 40 |
| 1.374 | 23 |
| 1.352 | 19 |
| 1.274 | 25 |
| 1.208 | 21 |

abc: 4.8460 4.8460 4.8460
angles: 63.45 63.45 63.45
Fractional coordinates of all 6 atoms:
Zr  0.1268  0.1268  0.1268
Zr  0.8732  0.8732  0.8732
V  0.5000  0.5000  0.5000
Co  0.0000  0.5000  0.5000
Co  0.5000  0.0000  0.5000
Co  0.5000  0.5000  0.0000